Entry 1:
CaBiCO4F: computed XRD peak list (Cu Kα X-rays), based on a crystal structure in the Materials Project, relaxed with GGA-PBE.
Kinematic intensities with the Lorentz-polarization factor, no thermal factor.

Structure:
```
CaBiCO4F
1.0
5.4091 0.0000 0.0000
0.0000 13.8263 0.0000
0.0000 0.0000 5.4205
Ca Bi C O F
4 4 4 16 4
Cartesian
0.0000 1.3722 1.3551
0.0000 12.4541 4.0654
2.7046 1.3722 4.0654
2.7046 12.4541 1.3551
0.0000 5.6135 1.3551
0.0000 8.2128 4.0654
2.7046 5.6135 4.0654
2.7046 8.2128 1.3551
0.0000 3.3608 4.0654
0.0000 10.4655 1.3551
2.7046 3.3608 1.3551
2.7046 10.4655 4.0654
0.0000 4.6904 4.0654
0.0000 9.1360 1.3551
0.8070 2.7481 3.2743
0.8070 11.0782 0.5640
1.3523 6.9132 2.6978
1.3523 6.9132 5.4081
1.8976 2.7481 0.5640
1.8976 11.0782 3.2743
2.7046 4.6904 1.3551
2.7046 9.1360 4.0654
3.5115 2.7481 2.1462
3.5115 11.0782 4.8565
4.0568 6.9132 0.0124
4.0568 6.9132 2.7227
4.6021 2.7481 4.8565
4.6021 11.0782 2.1462
1.3523 0.0000 2.6384
1.3523 0.0000 5.3486
4.0568 0.0000 0.0719
4.0568 0.0000 2.7822
```

The 8 most intense peaks (10 to 90 degrees two-theta), by intensity:
hkl 1 3 1, 30.35°, I 100
hkl 1 2 1, 26.61°, I 41
hkl 2 6 0, 52.11°, I 38
hkl 0 0 2, 33.09°, I 32
hkl 1 3 3, 57.41°, I 29
hkl 2 4 0, 42.41°, I 29
hkl 1 1 1, 24.12°, I 26
hkl 2 1 0, 33.73°, I 26

Entry 2:
CaBiCO4F: computed XRD peak list (Cu Kα X-rays), based on a crystal structure in the Materials Project, relaxed with GGA-PBE.
Kinematic intensities with the Lorentz-polarization factor, no thermal factor.

Structure:
```
CaBiCO4F
1.0
3.4732 0.0000 0.0000
0.0000 4.5550 0.0000
0.0000 0.0000 13.3782
Ca Bi C O F
2 2 2 8 2
Cartesian
0.8683 1.1388 1.2813
2.6049 3.4163 12.0970
0.8683 1.1388 5.4053
2.6049 3.4163 7.9729
0.8683 1.1388 10.1676
2.6049 3.4163 3.2106
0.8683 0.0236 10.7852
0.8683 1.1388 8.8413
0.8683 2.2539 10.7852
0.8683 3.4163 6.6055
2.6049 1.1388 6.7727
2.6049 2.3011 2.5930
2.6049 3.4163 4.5369
2.6049 4.5314 2.5930
0.8683 3.4163 0.2456
2.6049 1.1388 13.1326
```

The 8 most intense peaks (10 to 90 degrees two-theta), by intensity:
hkl 0 1 3, 28.00°, I 100
hkl 1 0 3, 32.68°, I 87
hkl 1 1 0, 32.42°, I 68
hkl 2 0 0, 52.75°, I 57
hkl 1 1 4, 42.45°, I 53
hkl 0 1 2, 23.63°, I 50
hkl 1 1 1, 33.12°, I 47
hkl 0 1 1, 20.60°, I 42

> What is the formula in the first record?

CaBiCO4F